# Li7Ni8O16
Computed XRD peak list, copper Kα. Input: a cell relaxed with GGA+U.

Peak list (6 most intense, 10° ≤ 2θ ≤ 80°, sorted by position)
d 4.802, 18.48 deg, rel. 100, (1 1 0)
d 2.508, 35.81 deg, rel. 15, (-1 2 1)
d 2.457, 36.57 deg, rel. 13, (2 0 2)
d 2.095, 43.19 deg, rel. 24, (0 3 1)
d 2.050, 44.18 deg, rel. 22, (3 1 2)
d 2.022, 44.82 deg, rel. 21, (1 0 -3)

Structure:
Lattice parameters (Å, degrees): 6.514 6.624 7.545 64.87 75.29 72.37
Space group P-1 (No. 2)
One atom of each set of equivalent atoms:
Li 0.000 0.000 0.000 x1
Li 0.128 0.875 0.379 x2
Li 0.257 0.745 0.750 x2
Li 0.381 0.621 0.135 x2
Ni 0.073 0.440 0.687 x2
Ni 0.183 0.313 0.066 x2
Ni 0.313 0.192 0.435 x2
Ni 0.443 0.062 0.812 x2
O 0.036 0.231 0.332 x2
O 0.072 0.657 0.035 x2
O 0.185 0.103 0.709 x2
O 0.204 0.509 0.410 x2
O 0.303 0.972 0.086 x2
O 0.327 0.395 0.803 x2
O 0.405 0.883 0.453 x2
O 0.441 0.281 0.165 x2